1.
The following is a computed powder diffraction line list of NaLi5Mn2P2C2O14. It was derived from a DFT-relaxed cell (PBE+U, the Materials Project), using copper Kα.

```
data_NaLi5Mn2P2C2O14
_symmetry_space_group_name_H-M 'P 1'
_symmetry_Int_Tables_number 1
_cell_length_a 6.6972
_cell_length_b 8.6314
_cell_length_c 10.0097
_cell_angle_alpha 87.52
_cell_angle_beta 89.92
_cell_angle_gamma 89.16
loop_
_symmetry_equiv_pos_as_xyz
'x,y,z'
loop_
_atom_site_label
_atom_site_fract_x
_atom_site_fract_y
_atom_site_fract_z
_atom_site_occupancy
Na1 0.0019 0.2474 0.1254 1
Na2 0.9981 0.7526 0.8746 1
Li1 0.0270 0.7344 0.3818 1
Li2 0.2650 0.9116 0.6261 1
Li3 0.2693 0.9134 0.1290 1
Li4 0.4703 0.7302 0.3831 1
Li5 0.4709 0.7285 0.8858 1
Li6 0.5291 0.2715 0.1142 1
Li7 0.5297 0.2698 0.6169 1
Li8 0.7307 0.0866 0.8710 1
Li9 0.7350 0.0884 0.3739 1
Li10 0.9730 0.2656 0.6182 1
Mn1 0.2532 0.3498 0.3906 1
Mn2 0.2542 0.3549 0.8857 1
Mn3 0.7458 0.6451 0.1143 1
Mn4 0.7468 0.6502 0.6094 1
P1 0.2529 0.5920 0.6418 1
P2 0.2538 0.5925 0.1458 1
P3 0.7462 0.4075 0.8542 1
P4 0.7471 0.4080 0.3582 1
C1 0.2517 0.0373 0.3649 1
C2 0.2603 0.0432 0.8601 1
C3 0.7397 0.9568 0.1399 1
C4 0.7483 0.9627 0.6351 1
O1 0.0609 0.6792 0.0997 1
O2 0.0646 0.6885 0.5970 1
O3 0.2480 0.4226 0.5948 1
O4 0.2475 0.8919 0.3340 1
O5 0.2497 0.0786 0.9847 1
O6 0.2531 0.0779 0.4873 1
O7 0.2530 0.1515 0.7656 1
O8 0.2556 0.1431 0.2678 1
O9 0.2585 0.5794 0.3025 1
O10 0.2687 0.5820 0.7975 1
O11 0.2710 0.4255 0.0941 1
O12 0.2784 0.8996 0.8265 1
O13 0.4273 0.6978 0.0938 1
O14 0.4305 0.6875 0.5831 1
O15 0.5695 0.3125 0.4169 1
O16 0.5727 0.3022 0.9062 1
O17 0.7216 0.1004 0.1735 1
O18 0.7290 0.5745 0.9059 1
O19 0.7313 0.4180 0.2025 1
O20 0.7415 0.4206 0.6975 1
O21 0.7444 0.8569 0.7322 1
O22 0.7470 0.8485 0.2344 1
O23 0.7469 0.9221 0.5127 1
O24 0.7503 0.9214 0.0153 1
O25 0.7525 0.1081 0.6660 1
O26 0.7520 0.5774 0.4052 1
O27 0.9354 0.3115 0.4030 1
O28 0.9391 0.3208 0.9003 1
```

Largest 10 diffraction maxima, in order of rising 2θ, 10 to 80 degrees two-theta:
(hkl), d/Å, I (rel.)
0 1 0, 8.622, 100
0 1 2, 4.409, 30
0 1 -2, 4.247, 32
2 0 0, 3.348, 97
0 2 2, 3.337, 34
0 2 -2, 3.197, 18
0 3 0, 2.874, 19
2 2 0, 2.661, 20
0 0 4, 2.500, 29
0 1 4, 2.429, 21

---

2.
The following is a computed powder diffraction line list of NaLi2MnPCO7. It was derived from a DFT-relaxed cell (PBE+U, the Materials Project), using copper Kα.

```
data_NaLi2MnPCO7
_symmetry_space_group_name_H-M 'P 1'
_symmetry_Int_Tables_number 1
_cell_length_a 6.6646
_cell_length_b 8.7212
_cell_length_c 10.0730
_cell_angle_alpha 90.82
_cell_angle_beta 90.24
_cell_angle_gamma 90.77
loop_
_symmetry_equiv_pos_as_xyz
'x,y,z'
loop_
_atom_site_label
_atom_site_fract_x
_atom_site_fract_y
_atom_site_fract_z
_atom_site_occupancy
Na1 0.0000 0.0000 0.0000 1
Na2 0.0007 0.4916 0.7466 1
Na3 0.7450 0.6626 0.0029 1
Na4 0.7478 0.6627 0.5018 1
Li1 0.0111 0.0089 0.5040 1
Li2 0.2526 0.8284 0.2470 1
Li3 0.2580 0.8311 0.7438 1
Li4 0.4870 0.0092 0.5050 1
Li5 0.4889 0.0103 0.0044 1
Li6 0.5109 0.4803 0.7420 1
Li7 0.5129 0.4814 0.2412 1
Li8 0.9876 0.4820 0.2424 1
Mn1 0.2492 0.3856 0.0145 1
Mn2 0.2524 0.3867 0.5089 1
Mn3 0.7468 0.1032 0.2374 1
Mn4 0.7495 0.1047 0.7321 1
P1 0.2497 0.1514 0.2752 1
P2 0.2577 0.1511 0.7704 1
P3 0.7408 0.3347 0.9762 1
P4 0.7495 0.3347 0.4714 1
C1 0.2507 0.7017 0.4891 1
C2 0.2587 0.6985 0.9903 1
C3 0.7403 0.8005 0.7552 1
C4 0.7484 0.7974 0.2567 1
O1 0.0623 0.0591 0.2278 1
O2 0.0663 0.0610 0.7242 1
O3 0.2487 0.8480 0.4685 1
O4 0.2498 0.6470 0.1111 1
O5 0.2506 0.3213 0.2262 1
O6 0.2517 0.6063 0.3880 1
O7 0.2520 0.6490 0.6098 1
O8 0.2538 0.1582 0.4308 1
O9 0.2536 0.6020 0.8898 1
O10 0.2652 0.1626 0.9255 1
O11 0.2656 0.3181 0.7180 1
O12 0.2716 0.8437 0.9679 1
O13 0.4304 0.0581 0.2230 1
O14 0.4335 0.0516 0.7189 1
O15 0.5625 0.4309 0.0290 1
O16 0.5668 0.4251 0.5247 1
O17 0.7280 0.6517 0.7643 1
O18 0.7335 0.1682 0.0266 1
O19 0.7341 0.3286 0.8208 1
O20 0.7446 0.8864 0.8617 1
O21 0.7457 0.3332 0.3157 1
O22 0.7467 0.8628 0.1419 1
O23 0.7478 0.8830 0.3633 1
O24 0.7489 0.1654 0.5186 1
O25 0.7495 0.8647 0.6402 1
O26 0.7506 0.6478 0.2645 1
O27 0.9337 0.4234 0.0234 1
O28 0.9383 0.4253 0.5199 1
```

Largest 10 diffraction maxima, in order of rising 2θ, 10 to 80 degrees two-theta:
(hkl), d/Å, I (rel.)
0 1 0, 8.720, 62
0 1 -2, 4.388, 27
0 1 2, 4.334, 23
2 0 0, 3.329, 100
2 -2 0, 2.662, 17
0 0 4, 2.518, 29
0 4 0, 2.180, 12
1 2 -4, 2.084, 13
2 -4 0, 1.835, 13
4 0 0, 1.666, 15

---

3.
The following is a computed powder diffraction line list of NaLi2MnPCO7. It was derived from a DFT-relaxed cell (PBE+U, the Materials Project), using copper Kα.

```
data_NaLi2MnPCO7
_symmetry_space_group_name_H-M 'P 1'
_symmetry_Int_Tables_number 1
_cell_length_a 6.7033
_cell_length_b 8.6888
_cell_length_c 10.0833
_cell_angle_alpha 91.18
_cell_angle_beta 90.06
_cell_angle_gamma 90.35
loop_
_symmetry_equiv_pos_as_xyz
'x,y,z'
loop_
_atom_site_label
_atom_site_fract_x
_atom_site_fract_y
_atom_site_fract_z
_atom_site_occupancy
Na1 0.0000 0.0000 0.0000 1
Na2 0.0021 0.4962 0.7507 1
Na3 0.4991 0.4966 0.2486 1
Na4 0.7529 0.6641 0.5022 1
Li1 0.0193 0.0145 0.5070 1
Li2 0.2473 0.8336 0.2496 1
Li3 0.2644 0.8349 0.7485 1
Li4 0.4806 0.0147 0.5084 1
Li5 0.4865 0.0126 0.0077 1
Li6 0.5169 0.4803 0.7450 1
Li7 0.7404 0.6663 0.0007 1
Li8 0.9816 0.4807 0.2386 1
Mn1 0.2481 0.3897 0.0129 1
Mn2 0.2529 0.3895 0.5115 1
Mn3 0.7454 0.1018 0.2369 1
Mn4 0.7506 0.1040 0.7339 1
P1 0.2447 0.1507 0.2732 1
P2 0.2598 0.1538 0.7700 1
P3 0.7412 0.3424 0.9756 1
P4 0.7553 0.3328 0.4744 1
C1 0.2500 0.7067 0.4913 1
C2 0.2608 0.7030 0.9895 1
C3 0.7394 0.8003 0.7631 1
C4 0.7585 0.7939 0.2535 1
O1 0.0625 0.0508 0.2305 1
O2 0.0688 0.0644 0.7249 1
O3 0.2331 0.3181 0.2208 1
O4 0.2491 0.8527 0.4659 1
O5 0.2504 0.6071 0.3927 1
O6 0.2513 0.6018 0.8922 1
O7 0.2508 0.6588 0.6126 1
O8 0.2517 0.6576 0.1118 1
O9 0.2537 0.1626 0.4287 1
O10 0.2683 0.1664 0.9248 1
O11 0.2692 0.3210 0.7178 1
O12 0.2777 0.8470 0.9617 1
O13 0.4287 0.0609 0.2202 1
O14 0.4342 0.0527 0.7169 1
O15 0.5634 0.4440 0.0220 1
O16 0.5695 0.4255 0.5218 1
O17 0.7238 0.6522 0.7779 1
O18 0.7334 0.1773 0.0309 1
O19 0.7367 0.3279 0.8206 1
O20 0.7449 0.8880 0.3554 1
O21 0.7448 0.8906 0.8672 1
O22 0.7471 0.8463 0.1340 1
O23 0.7509 0.1637 0.5231 1
O24 0.7511 0.8598 0.6463 1
O25 0.7621 0.3270 0.3195 1
O26 0.7818 0.6476 0.2714 1
O27 0.9312 0.4337 0.0213 1
O28 0.9394 0.4241 0.5268 1
```

Largest 10 diffraction maxima, in order of rising 2θ, 10 to 80 degrees two-theta:
(hkl), d/Å, I (rel.)
0 1 0, 8.687, 98
0 1 -2, 4.399, 32
0 1 2, 4.321, 28
2 0 0, 3.352, 100
0 2 -2, 3.324, 34
2 -2 0, 2.664, 35
2 2 0, 2.645, 20
0 0 4, 2.520, 41
0 4 0, 2.170, 19
4 0 0, 1.676, 21

---

4.
The following is a computed powder diffraction line list of NaLi2MnPCO7. It was derived from a DFT-relaxed cell (PBE+U, the Materials Project), using copper Kα.

```
data_NaLi2MnPCO7
_symmetry_space_group_name_H-M 'P 1'
_symmetry_Int_Tables_number 1
_cell_length_a 6.6631
_cell_length_b 8.7210
_cell_length_c 10.0706
_cell_angle_alpha 89.14
_cell_angle_beta 89.98
_cell_angle_gamma 89.96
loop_
_symmetry_equiv_pos_as_xyz
'x,y,z'
loop_
_atom_site_label
_atom_site_fract_x
_atom_site_fract_y
_atom_site_fract_z
_atom_site_occupancy
Na1 0.0000 0.0000 0.0000 1
Na2 0.0029 0.9989 0.4989 1
Na3 0.2539 0.1699 0.7439 1
Na4 0.7524 0.6627 0.4968 1
Li1 0.2415 0.1802 0.2402 1
Li2 0.2640 0.6519 0.5019 1
Li3 0.2650 0.6527 0.0020 1
Li4 0.4993 0.8327 0.2415 1
Li5 0.5051 0.8318 0.7435 1
Li6 0.7419 0.6531 0.0005 1
Li7 0.7654 0.1807 0.2386 1
Li8 0.7646 0.1814 0.7385 1
Mn1 0.0039 0.5586 0.2307 1
Mn2 0.0066 0.5577 0.7331 1
Mn3 0.5036 0.2754 0.0101 1
Mn4 0.5067 0.2764 0.5075 1
P1 0.0081 0.3255 0.4693 1
P2 0.4993 0.5092 0.2682 1
P3 0.5076 0.5127 0.7715 1
P4 0.9991 0.3288 0.9725 1
C1 0.0049 0.8648 0.2519 1
C2 0.4970 0.9642 0.4850 1
C3 0.5048 0.9600 0.9882 1
C4 0.9970 0.8611 0.7544 1
O1 0.0009 0.3301 0.3135 1
O2 0.0018 0.4976 0.0196 1
O3 0.0023 0.7990 0.1374 1
O4 0.0040 0.0144 0.2598 1
O5 0.0053 0.7976 0.6389 1
O6 0.0064 0.7750 0.8606 1
O7 0.0080 0.7794 0.3587 1
O8 0.0183 0.4923 0.5197 1
O9 0.1879 0.2375 0.0192 1
O10 0.1926 0.2299 0.5148 1
O11 0.3187 0.6031 0.2136 1
O12 0.3223 0.6026 0.7187 1
O13 0.4797 0.8194 0.4627 1
O14 0.4892 0.5008 0.4232 1
O15 0.5007 0.5025 0.9270 1
O16 0.5020 0.3398 0.2193 1
O17 0.5027 0.0135 0.1084 1
O18 0.5035 0.8137 0.9676 1
O19 0.5050 0.0148 0.6065 1
O20 0.5077 0.0553 0.8868 1
O21 0.5075 0.0607 0.3847 1
O22 0.5181 0.3454 0.7192 1
O23 0.6864 0.6025 0.2225 1
O24 0.6899 0.6112 0.7272 1
O25 0.8168 0.2372 0.0281 1
O26 0.8210 0.2380 0.5231 1
O27 0.9803 0.0096 0.7634 1
O28 0.9892 0.3321 0.8173 1
```

Largest 10 diffraction maxima, in order of rising 2θ, 10 to 80 degrees two-theta:
(hkl), d/Å, I (rel.)
0 1 0, 8.720, 62
0 1 2, 4.389, 27
0 1 -2, 4.332, 23
2 0 0, 3.329, 100
2 2 0, 2.651, 22
2 -2 0, 2.644, 16
0 0 4, 2.517, 29
1 -3 2, 2.341, 13
2 -4 0, 1.824, 22
4 0 0, 1.666, 15

---

5.
The following is a computed powder diffraction line list of Na5LiMn2P2C2O14. It was derived from a DFT-relaxed cell (PBE+U, the Materials Project), using copper Kα.

```
data_Na5LiMn2P2C2O14
_symmetry_space_group_name_H-M 'P 1'
_symmetry_Int_Tables_number 1
_cell_length_a 6.8128
_cell_length_b 8.9627
_cell_length_c 10.3298
_cell_angle_alpha 90.12
_cell_angle_beta 90.11
_cell_angle_gamma 90.23
loop_
_symmetry_equiv_pos_as_xyz
'x,y,z'
loop_
_atom_site_label
_atom_site_fract_x
_atom_site_fract_y
_atom_site_fract_z
_atom_site_occupancy
Na1 0.0000 0.0000 0.0000 1
Na2 0.0006 0.0009 0.5002 1
Na3 0.0041 0.5185 0.7515 1
Na4 0.0049 0.5179 0.2530 1
Na5 0.2533 0.3431 0.9967 1
Na6 0.5004 0.5184 0.7516 1
Na7 0.5040 0.0009 0.5003 1
Na8 0.5046 0.0001 0.0001 1
Na9 0.7511 0.1771 0.2567 1
Na10 0.7524 0.1765 0.7559 1
Li1 0.2534 0.3433 0.4959 1
Li2 0.4966 0.5235 0.2548 1
Mn1 0.2524 0.8976 0.2649 1
Mn2 0.2522 0.8981 0.7647 1
Mn3 0.7506 0.6185 0.4864 1
Mn4 0.7514 0.6198 0.9885 1
P1 0.2523 0.6668 0.5240 1
P2 0.2543 0.6691 0.0261 1
P3 0.7496 0.8468 0.2269 1
P4 0.7522 0.8483 0.7270 1
C1 0.2523 0.2005 0.7413 1
C2 0.2560 0.2051 0.2470 1
C3 0.7510 0.3196 0.0090 1
C4 0.7515 0.3194 0.5077 1
O1 0.0694 0.5725 0.4837 1
O2 0.0695 0.5778 0.9849 1
O3 0.2525 0.1157 0.6390 1
O4 0.2518 0.1174 0.1458 1
O5 0.2525 0.1389 0.8559 1
O6 0.2518 0.1470 0.3627 1
O7 0.2520 0.3441 0.7285 1
O8 0.2523 0.8257 0.4643 1
O9 0.2524 0.8283 0.9670 1
O10 0.2540 0.6864 0.6745 1
O11 0.2601 0.6835 0.1774 1
O12 0.2641 0.3488 0.2332 1
O13 0.4327 0.5722 0.4807 1
O14 0.4357 0.5775 0.9822 1
O15 0.5686 0.9409 0.2685 1
O16 0.5694 0.9406 0.7683 1
O17 0.7424 0.6864 0.2847 1
O18 0.7486 0.4042 0.1121 1
O19 0.7505 0.3827 0.3940 1
O20 0.7521 0.3824 0.8951 1
O21 0.7516 0.4037 0.6110 1
O22 0.7523 0.6902 0.7875 1
O23 0.7519 0.8305 0.5762 1
O24 0.7518 0.8317 0.0762 1
O25 0.7526 0.1761 0.0193 1
O26 0.7526 0.1760 0.5181 1
O27 0.9347 0.9371 0.2696 1
O28 0.9357 0.9410 0.7685 1
```

Largest 10 diffraction maxima, in order of rising 2θ, 10 to 80 degrees two-theta:
(hkl), d/Å, I (rel.)
0 1 -2, 4.476, 45
2 0 0, 3.406, 95
0 2 -2, 3.386, 43
2 -2 0, 2.714, 87
2 2 0, 2.706, 43
0 0 4, 2.584, 100
1 2 -4, 2.127, 29
2 -4 0, 1.875, 24
2 4 0, 1.868, 29
4 0 0, 1.703, 32

---

6.
The following is a computed powder diffraction line list of NaLi2MnPCO7. It was derived from a DFT-relaxed cell (PBE+U, the Materials Project), using copper Kα.

```
data_NaLi2MnPCO7
_symmetry_space_group_name_H-M 'P 1'
_symmetry_Int_Tables_number 1
_cell_length_a 6.7020
_cell_length_b 8.6857
_cell_length_c 10.0655
_cell_angle_alpha 91.36
_cell_angle_beta 90.13
_cell_angle_gamma 90.52
loop_
_symmetry_equiv_pos_as_xyz
'x,y,z'
loop_
_atom_site_label
_atom_site_fract_x
_atom_site_fract_y
_atom_site_fract_z
_atom_site_occupancy
Na1 0.0000 0.0000 0.0000 1
Na2 0.9995 0.9996 0.4968 1
Na3 0.2598 0.8318 0.7455 1
Na4 0.5002 0.4966 0.2479 1
Li1 0.2537 0.8293 0.2471 1
Li2 0.4788 0.0166 0.0109 1
Li3 0.4817 0.0165 0.5051 1
Li4 0.5209 0.4817 0.7409 1
Li5 0.7463 0.6623 0.9974 1
Li6 0.7495 0.6608 0.4986 1
Li7 0.9792 0.4806 0.7382 1
Li8 0.9854 0.4842 0.2396 1
Mn1 0.2466 0.3944 0.0102 1
Mn2 0.2492 0.3923 0.5131 1
Mn3 0.7455 0.1053 0.2350 1
Mn4 0.7469 0.1056 0.7362 1
P1 0.2495 0.1527 0.2711 1
P2 0.2552 0.1626 0.7720 1
P3 0.7456 0.3449 0.9746 1
P4 0.7506 0.3420 0.4776 1
C1 0.2575 0.6961 0.4838 1
C2 0.2590 0.7030 0.9935 1
C3 0.7492 0.7891 0.7562 1
C4 0.7568 0.7932 0.2583 1
O1 0.0634 0.0514 0.2355 1
O2 0.0638 0.0713 0.7302 1
O3 0.2343 0.3180 0.2166 1
O4 0.2425 0.6045 0.3797 1
O5 0.2455 0.6078 0.8916 1
O6 0.2518 0.6501 0.1135 1
O7 0.2534 0.6370 0.6010 1
O8 0.2540 0.3321 0.7242 1
O9 0.2706 0.1678 0.4259 1
O10 0.2711 0.1685 0.9269 1
O11 0.2756 0.8432 0.4678 1
O12 0.2781 0.8491 0.9756 1
O13 0.4301 0.0617 0.2141 1
O14 0.4327 0.0699 0.7129 1
O15 0.5646 0.4444 0.0178 1
O16 0.5690 0.4435 0.5190 1
O17 0.7344 0.1752 0.5289 1
O18 0.7350 0.1773 0.0262 1
O19 0.7385 0.8941 0.3552 1
O20 0.7447 0.8892 0.8544 1
O21 0.7501 0.6429 0.7821 1
O22 0.7511 0.8366 0.1357 1
O23 0.7523 0.8359 0.6345 1
O24 0.7528 0.3336 0.8188 1
O25 0.7660 0.3298 0.3227 1
O26 0.7796 0.6492 0.2874 1
O27 0.9309 0.4356 0.0283 1
O28 0.9341 0.4318 0.5353 1
```

Largest 10 diffraction maxima, in order of rising 2θ, 10 to 80 degrees two-theta:
(hkl), d/Å, I (rel.)
0 1 0, 8.683, 97
0 1 -2, 4.399, 32
0 1 2, 4.309, 28
2 0 0, 3.351, 100
0 2 -2, 3.326, 33
2 -2 0, 2.665, 37
2 2 0, 2.640, 20
0 0 4, 2.516, 40
0 4 0, 2.170, 20
4 0 0, 1.676, 23